Diffraction record for Tb4Y2Sc. The powder diffraction line list is theoretical, not measured: it uses a structure optimized by DFT (PBE) and Cu Ka.

Structure:
```
data_Tb4Y2Sc
_space_group_name_H-M_alt 'P b c a'
_space_group_IT_number 61
_cell_length_a 5.502
_cell_length_b 12.133
_cell_length_c 13.260
_cell_angle_alpha 90.00
_cell_angle_beta 90.00
_cell_angle_gamma 90.00
loop_
_space_group_symop_operation_xyz
'x,y,z'
'-x,-y,-z'
'-x+1/2,-y,z+1/2'
'x+1/2,y,-z+1/2'
'x+1/2,-y+1/2,-z'
'-x+1/2,y+1/2,z'
'-x,y+1/2,-z+1/2'
'x,-y+1/2,z+1/2'
loop_
_atom_site_label
_atom_site_fract_x
_atom_site_fract_y
_atom_site_fract_z
_atom_site_occupancy
Tb1 0.002 0.145 0.179 1
Tb2 0.002 0.245 0.425 1
Y1 0.000 0.068 0.655 1
Sc1 0.000 0.000 0.000 1
```

The 10 most intense peaks (15 to 90 degrees two-theta), by intensity:
two_theta, I (rel.), index
32.40, 100.0, 1 1 4
30.57, 71.5, 1 3 2
32.55, 41.7, 2 0 0
34.19, 28.9, 1 3 3
16.07, 17.8, 0 2 1
56.86, 15.5, 3 3 2
57.97, 15.3, 3 1 4
46.63, 14.0, 2 4 2
42.96, 13.2, 1 5 2
30.23, 12.4, 0 4 1